(1)
Starting from DFT lattice parameters and positions (GGA-PBE), the X-ray powder pattern of Mg5Zn3 was computed for Cu Kα X-rays.
Kinematic intensities with the Lorentz-polarization factor, no thermal factor.

Most intense lines, 10° ≤ 2θ ≤ 80°, low angle first:
2theta	I (rel.)
24.04	14
27.65	16
31.70	12
36.96	100
39.35	18
39.64	22
57.09	12
70.17	14

Structural model:
Unit cell a=5.8887 b=5.8887 c=4.5470 alpha=90.00 beta=90.00 gamma=102.10
Fractional coordinates of all 8 atoms:
Mg1 0.0000 0.0000 0.0000
Mg2 0.0000 0.5000 0.0000
Mg3 0.2841 0.2841 0.5000
Mg4 0.5000 0.0000 0.0000
Mg5 0.7159 0.7159 0.5000
Zn1 0.2213 0.7787 0.5000
Zn2 0.5000 0.5000 0.0000
Zn3 0.7787 0.2213 0.5000

=====

(2)
Starting from DFT lattice parameters and positions (GGA-PBE), the X-ray powder pattern of Mg7Zn was computed for Cu Kα X-rays.
Kinematic intensities with the Lorentz-polarization factor, no thermal factor.

Most intense lines, 10° ≤ 2θ ≤ 80°, low angle first:
2theta	I (rel.)
16.50	17
33.35	26
34.51	28
37.69	100
48.75	17
59.61	16
63.94	20
70.74	19

Structural model:
Unit cell a=6.2042 b=6.2042 c=5.1975 alpha=90.00 beta=90.00 gamma=120.00
Fractional coordinates of all 8 atoms:
Mg1 0.0000 0.0000 0.0000
Mg2 0.0045 0.5023 0.0000
Mg3 0.3321 0.1660 0.5000
Mg4 0.4977 0.5023 0.0000
Mg5 0.4977 0.9955 0.0000
Mg6 0.8340 0.1660 0.5000
Mg7 0.8340 0.6679 0.5000
Zn1 0.3333 0.6667 0.5000

=====

(3)
Starting from DFT lattice parameters and positions (GGA-PBE), the X-ray powder pattern of Mg2Zn was computed for Cu Kα X-rays.
Kinematic intensities with the Lorentz-polarization factor, no thermal factor.

Most intense lines, 10° ≤ 2θ ≤ 80°, low angle first:
2theta	I (rel.)
18.49	100
37.48	34
39.46	70
41.88	39
42.32	37
43.80	30
44.02	28
68.95	24

Structural model:
Unit cell a=5.4567 b=5.4567 c=5.4567 alpha=103.65 beta=102.52 gamma=123.18
Fractional coordinates of all 6 atoms:
Mg1 0.1594 0.1567 0.3161
Mg2 0.3406 0.6567 0.9972
Mg3 0.6594 0.3433 0.0028
Mg4 0.8406 0.8433 0.6839
Zn1 0.2500 0.7500 0.5000
Zn2 0.7500 0.2500 0.5000

=====

(4)
Starting from DFT lattice parameters and positions (GGA-PBE), the X-ray powder pattern of Mg14ZrZn was computed for Cu Kα X-rays.
Kinematic intensities with the Lorentz-polarization factor, no thermal factor.

Most intense lines, 10° ≤ 2θ ≤ 80°, low angle first:
2theta	I (rel.)
16.10	27
23.88	18
32.54	27
35.44	25
37.18	100
58.06	17
64.78	18
69.89	19

Structural model:
Unit cell a=6.3549 b=6.3549 c=10.1305 alpha=90.00 beta=90.00 gamma=120.00
Fractional coordinates of all 16 atoms:
Mg1 0.0000 0.0000 0.2403
Mg2 0.0000 0.0000 0.7597
Mg3 0.0103 0.5051 0.2520
Mg4 0.0103 0.5051 0.7480
Mg5 0.3297 0.1649 0.5000
Mg6 0.3421 0.1710 0.0000
Mg7 0.4949 0.5051 0.2520
Mg8 0.4949 0.5051 0.7480
Mg9 0.4949 0.9897 0.2520
Mg10 0.4949 0.9897 0.7480
Mg11 0.8290 0.1710 0.0000
Mg12 0.8290 0.6579 0.0000
Mg13 0.8351 0.1649 0.5000
Mg14 0.8351 0.6703 0.5000
Zr1 0.3333 0.6667 0.0000
Zn1 0.3333 0.6667 0.5000

=====

(5)
Starting from DFT lattice parameters and positions (GGA-PBE), the X-ray powder pattern of MgZr4Zn was computed for Cu Kα X-rays.
Kinematic intensities with the Lorentz-polarization factor, no thermal factor.

Most intense lines, 10° ≤ 2θ ≤ 80°, low angle first:
2theta	I (rel.)
28.77	8
35.02	100
39.85	55
42.20	10
57.66	13
59.45	13
69.27	27
73.99	7

Structural model:
Unit cell a=3.1974 b=3.1974 c=12.8499 alpha=90.00 beta=90.00 gamma=90.00
Fractional coordinates of all 6 atoms:
Mg1 0.0000 0.0000 0.0000
Zr1 0.0000 0.0000 0.3575
Zr2 0.0000 0.0000 0.6425
Zr3 0.5000 0.5000 0.1852
Zr4 0.5000 0.5000 0.8148
Zn1 0.5000 0.5000 0.5000

=====

(6)
Starting from DFT lattice parameters and positions (GGA-PBE), the X-ray powder pattern of Mg4ZrZn5 was computed for Cu Kα X-rays.
Kinematic intensities with the Lorentz-polarization factor, no thermal factor.

Most intense lines, 10° ≤ 2θ ≤ 80°, low angle first:
2theta	I (rel.)
10.67	6
27.05	11
38.50	100
38.63	50
55.39	8
55.78	16
69.56	16
69.83	32

Structural model:
Unit cell a=3.2958 b=3.2958 c=16.5881 alpha=90.00 beta=90.00 gamma=90.00
Fractional coordinates of all 10 atoms:
Mg1 0.0000 0.0000 0.0984
Mg2 0.0000 0.0000 0.2970
Mg3 0.0000 0.0000 0.7030
Mg4 0.0000 0.0000 0.9016
Zr1 0.0000 0.0000 0.5000
Zn1 0.5000 0.5000 0.0000
Zn2 0.5000 0.5000 0.1983
Zn3 0.5000 0.5000 0.3942
Zn4 0.5000 0.5000 0.6058
Zn5 0.5000 0.5000 0.8017

=====

(7)
Starting from DFT lattice parameters and positions (GGA-PBE), the X-ray powder pattern of Mg3Zr13 was computed for Cu Kα X-rays.
Kinematic intensities with the Lorentz-polarization factor, no thermal factor.

Most intense lines, 10° ≤ 2θ ≤ 80°, low angle first:
2theta	I (rel.)
11.61	18
32.43	30
34.51	42
36.43	59
36.86	100
48.08	19
63.38	19
68.58	20

Structural model:
Unit cell a=6.3463 b=7.6422 c=7.6422 alpha=85.70 beta=90.00 gamma=90.00
Fractional coordinates of all 16 atoms:
Mg1 0.0000 0.0000 0.0000
Mg2 0.2450 0.2342 0.2342
Mg3 0.7550 0.2342 0.2342
Zr1 0.0000 0.0792 0.5977
Zr2 0.0000 0.4865 0.4865
Zr3 0.0000 0.5977 0.0792
Zr4 0.2504 0.3314 0.8200
Zr5 0.2504 0.8200 0.3314
Zr6 0.2540 0.7422 0.7422
Zr7 0.5000 0.0826 0.5749
Zr8 0.5000 0.4914 0.4914
Zr9 0.5000 0.5749 0.0826
Zr10 0.5000 0.9849 0.9849
Zr11 0.7460 0.7422 0.7422
Zr12 0.7496 0.3314 0.8200
Zr13 0.7496 0.8200 0.3314

=====

(8)
Starting from DFT lattice parameters and positions (GGA-PBE), the X-ray powder pattern of Mg15Zr was computed for Cu Kα X-rays.
Kinematic intensities with the Lorentz-polarization factor, no thermal factor.

Most intense lines, 10° ≤ 2θ ≤ 80°, low angle first:
2theta	I (rel.)
18.17	16
32.22	25
35.09	25
36.82	100
48.38	16
57.45	17
64.09	18
69.13	19

Structural model:
Unit cell a=6.4161 b=6.4161 c=10.2288 alpha=90.00 beta=90.00 gamma=120.00
Fractional coordinates of all 16 atoms:
Mg1 0.0000 0.0000 0.0000
Mg2 0.9996 0.4998 0.0000
Mg3 0.0060 0.5030 0.5000
Mg4 0.1634 0.3267 0.2537
Mg5 0.1634 0.3267 0.7463
Mg6 0.1634 0.8366 0.2537
Mg7 0.1634 0.8366 0.7463
Mg8 0.4970 0.5030 0.5000
Mg9 0.4970 0.9940 0.5000
Mg10 0.5002 0.0004 0.0000
Mg11 0.5002 0.4998 0.0000
Mg12 0.6667 0.3333 0.2562
Mg13 0.6667 0.3333 0.7438
Mg14 0.6733 0.8366 0.2537
Mg15 0.6733 0.8366 0.7463
Zr1 0.0000 0.0000 0.5000

=====

(9)
Starting from DFT lattice parameters and positions (GGA-PBE), the X-ray powder pattern of Mg5Zr3 was computed for Cu Kα X-rays.
Kinematic intensities with the Lorentz-polarization factor, no thermal factor.

Most intense lines, 10° ≤ 2θ ≤ 80°, low angle first:
2theta	I (rel.)
10.05	12
31.71	24
34.52	100
39.60	34
41.00	17
57.25	11
58.32	21
68.60	25

Structural model:
Unit cell a=3.2184 b=3.2184 c=17.6084 alpha=90.00 beta=90.00 gamma=90.00
Fractional coordinates of all 8 atoms:
Mg1 0.0000 0.0000 0.0000
Mg2 0.0000 0.0000 0.2432
Mg3 0.0000 0.0000 0.7568
Mg4 0.5000 0.5000 0.1204
Mg5 0.5000 0.5000 0.8796
Zr1 0.0000 0.0000 0.5000
Zr2 0.5000 0.5000 0.3734
Zr3 0.5000 0.5000 0.6266

=====

(10)
Starting from DFT lattice parameters and positions (GGA-PBE), the X-ray powder pattern of Mg3Zr4 was computed for Cu Kα X-rays.
Kinematic intensities with the Lorentz-polarization factor, no thermal factor.

Most intense lines, 10° ≤ 2θ ≤ 80°, low angle first:
2theta	I (rel.)
10.41	60
30.02	14
34.45	100
37.04	20
41.39	42
56.75	22
65.10	14
71.04	23

Structural model:
Unit cell a=17.1275 b=17.1275 c=17.1275 alpha=169.67 beta=169.67 gamma=14.63
Fractional coordinates of all 7 atoms:
Mg1 0.0000 0.0000 0.0000
Mg2 0.2852 0.2852 0.0000
Mg3 0.7148 0.7148 0.0000
Zr1 0.1412 0.1412 0.0000
Zr2 0.4253 0.4253 0.0000
Zr3 0.5747 0.5747 0.0000
Zr4 0.8588 0.8588 0.0000

=====

(11)
Starting from DFT lattice parameters and positions (GGA-PBE), the X-ray powder pattern of Mn3Mo was computed for Cu Kα X-rays.
Kinematic intensities with the Lorentz-polarization factor, no thermal factor.

Most intense lines, 10° ≤ 2θ ≤ 80°, low angle first:
2theta	I (rel.)
28.77	14
43.52	50
43.65	100
43.94	96
44.37	48
63.44	15
63.90	30
79.79	15

Structural model:
Unit cell a=2.5554 b=4.0831 c=4.8488 alpha=90.00 beta=100.14 gamma=90.00
Fractional coordinates of all 4 atoms:
Mn1 0.0000 0.0000 0.0000
Mn2 0.2501 0.5000 0.7680
Mn3 0.7499 0.5000 0.2320
Mo1 0.5000 0.0000 0.5000

=====

(12)
Starting from DFT lattice parameters and positions (GGA-PBE), the X-ray powder pattern of MnMo5 was computed for Cu Kα X-rays.
Kinematic intensities with the Lorentz-polarization factor, no thermal factor.

Most intense lines, 10° ≤ 2θ ≤ 80°, low angle first:
2theta	I (rel.)
40.70	100
40.91	25
41.02	24
58.51	8
59.32	16
73.89	16
74.35	16
74.50	16

Structural model:
Unit cell a=6.9605 b=6.9605 c=3.1552 alpha=90.00 beta=90.00 gamma=143.04
Fractional coordinates of all 6 atoms:
Mn1 0.0000 0.0000 0.0000
Mo1 0.1651 0.8349 0.5000
Mo2 0.3359 0.6641 0.0000
Mo3 0.5000 0.5000 0.5000
Mo4 0.6641 0.3359 0.0000
Mo5 0.8349 0.1651 0.5000

=====

(13)
Starting from DFT lattice parameters and positions (GGA-PBE), the X-ray powder pattern of Mn3Mo5 was computed for Cu Kα X-rays.
Kinematic intensities with the Lorentz-polarization factor, no thermal factor.

Most intense lines, 10° ≤ 2θ ≤ 80°, low angle first:
2theta	I (rel.)
29.16	4
41.63	100
41.76	20
60.20	6
60.45	13
75.90	13
76.00	13
76.15	13

Structural model:
Unit cell a=5.3161 b=5.3161 c=4.3258 alpha=90.00 beta=90.00 gamma=109.33
Fractional coordinates of all 8 atoms:
Mn1 0.0000 0.0000 0.0000
Mn2 0.2435 0.7565 0.5000
Mn3 0.7565 0.2435 0.5000
Mo1 0.0000 0.5000 0.0000
Mo2 0.2463 0.2463 0.5000
Mo3 0.5000 0.0000 0.0000
Mo4 0.5000 0.5000 0.0000
Mo5 0.7537 0.7537 0.5000

=====

(14)
Starting from DFT lattice parameters and positions (GGA-PBE), the X-ray powder pattern of Mn2Mo was computed for Cu Kα X-rays.
Kinematic intensities with the Lorentz-polarization factor, no thermal factor.

Most intense lines, 10° ≤ 2θ ≤ 80°, low angle first:
2theta	I (rel.)
30.31	15
36.50	11
42.52	100
44.25	71
57.25	18
63.05	23
77.81	15
79.03	23

Structural model:
Unit cell a=4.2521 b=4.2521 c=4.9240 alpha=90.00 beta=90.00 gamma=120.00
Fractional coordinates of all 6 atoms:
Mn1 0.0000 0.0000 0.0000
Mn2 0.0000 0.0000 0.5000
Mn3 0.3333 0.6667 0.2500
Mn4 0.6667 0.3333 0.7500
Mo1 0.3333 0.6667 0.7500
Mo2 0.6667 0.3333 0.2500